Diffraction record for Nb2CdSiOs. The powder X-ray diffraction pattern is theoretical, not measured: it uses a structure optimized by DFT (PBE) and Cu Kα (λ = 1.5418 Å).
Kinematic intensities with the Lorentz-polarization factor, no thermal factor.

Main lines, in order of falling intensity (2θ from 15° to 90°):
d = 4.932 Å, intensity 100
d = 2.466 Å, intensity 64
d = 2.821 Å, intensity 58
d = 1.720 Å, intensity 42
d = 2.400 Å, intensity 30
d = 2.205 Å, intensity 26
d = 2.158 Å, intensity 24
d = 1.744 Å, intensity 22
d = 1.411 Å, intensity 22
d = 1.624 Å, intensity 20

Atomic structure:
```
Nb2CdSiOs
1.0
4.9315 0.0000 0.0000
0.0000 4.9315 0.0000
0.0000 0.0000 4.7991
Nb Cd Si Os
2 1 1 1
direct
0.0000 0.5000 0.0000
0.5000 0.0000 0.0000
0.0000 0.0000 0.0000
0.5000 0.5000 0.5000
0.0000 0.0000 0.5000
```